Theoretical XRD peak list
Compound: CaTa2Bi2O9
Radiation: Cu Kα (weighted mean of Kα1 and Kα2)
Structure: a DFT-relaxed cell (GGA-PBE, the Materials Project)
No peak broadening, texture or thermal motion is included.

Structure:
a = 3.938 Å, b = 3.955 Å, c = 13.055 Å
α = 94.29°, β = 96.40°, γ = 90.02°
Space group P-1 (No. 2)
Unique sites:
Ca 0.000 0.000 0.000 [1 per cell]
Ta 0.438 0.451 0.840 [2 per cell]
Bi 0.244 0.264 0.401 [2 per cell]
O 0.050 0.538 0.142 [2 per cell]
O 0.255 0.747 0.498 [2 per cell]
O 0.393 0.433 0.692 [2 per cell]
O 0.456 0.962 0.858 [2 per cell]
O 0.500 0.500 0.000 [1 per cell]

Largest 6 diffraction maxima, in order of rising 2θ, 10 to 90 degrees two-theta:
- 27.36 deg, d 3.260, rel. 961, hkl 0 1 2
- 27.94 deg, d 3.194, rel. 994, hkl 1 0 2
- 29.05 deg, d 3.074, rel. 1000, hkl 1 0 -3
- 29.52 deg, d 3.026, rel. 921, hkl 0 1 -3
- 32.08 deg, d 2.790, rel. 842, hkl 1 -1 0
- 32.19 deg, d 2.780, rel. 613, hkl 1 1 -1